LiCuSiS3: computed X-ray diffraction stick pattern (CuKα), based on DFT lattice parameters and positions (GGA-PBE).
Kinematic intensities with the Lorentz-polarization factor, no thermal factor.

Structure:
```
data_LiCuSiS3
_cell_length_a 3.3503
_cell_length_b 12.2083
_cell_length_c 9.4989
_cell_angle_alpha 90.00
_cell_angle_beta 90.00
_cell_angle_gamma 90.00
_space_group_name_H-M_alt 'C m c m'
_space_group_IT_number 63
_space_group_name_Hall '-C 2c 2'
loop_
_atom_site_label
_atom_site_fract_x
_atom_site_fract_y
_atom_site_fract_z
_atom_site_occupancy
Li1 0.0000 0.1946 0.2500 1
Cu1 0.0000 0.1056 0.7500 1
Si1 0.0000 0.5000 0.0000 1
S1 0.0000 0.1314 0.5219 1
S2 0.0000 0.4535 0.7500 1
```

Principal peaks in the range 5 to 70 degrees two-theta, low angle first:
14.51°, intensity 100
17.27°, intensity 82
29.22°, intensity 77
34.68°, intensity 91
35.99°, intensity 85
37.89°, intensity 72
45.99°, intensity 38
52.30°, intensity 45
54.80°, intensity 29
61.06°, intensity 28

Cu2Ag3: computed X-ray diffraction stick pattern (CuKα), based on DFT lattice parameters and positions (GGA-PBE).
Kinematic intensities with the Lorentz-polarization factor, no thermal factor.

Structure:
```
data_Cu2Ag3
_cell_length_a 8.8949
_cell_length_b 3.9546
_cell_length_c 8.8608
_cell_angle_alpha 90.00
_cell_angle_beta 90.22
_cell_angle_gamma 90.00
_space_group_name_H-M_alt 'C 1 m 1'
_space_group_IT_number 8
loop_
_space_group_symop_operation_xyz
'x,y,z'
'x,-y,z'
'x+1/2,y+1/2,z'
'x+1/2,-y+1/2,z'
loop_
_atom_site_label
_atom_site_fract_x
_atom_site_fract_y
_atom_site_fract_z
_atom_site_occupancy
Cu1 0.0000 0.0000 0.0000 1
Cu2 0.0030 0.5000 0.5079 1
Cu3 0.0963 0.0000 0.7014 1
Cu4 0.3006 0.0000 0.0969 1
Ag1 0.0958 0.5000 0.1952 1
Ag2 0.1972 0.0000 0.4066 1
Ag3 0.2016 0.5000 0.9055 1
Ag4 0.3010 0.5000 0.6033 1
Ag5 0.3987 0.5000 0.2950 1
Ag6 0.4059 0.0000 0.8042 1
```

Principal peaks in the range 5 to 70 degrees two-theta, low angle first:
20.01°, intensity 1
22.35°, intensity 1
24.64°, intensity 1
26.64°, intensity 2
28.49°, intensity 1
39.36°, intensity 100
45.57°, intensity 16
45.86°, intensity 31
66.65°, intensity 19
66.88°, intensity 9

Ba2LaTaCd2O8: computed X-ray diffraction stick pattern (CuKα), based on DFT lattice parameters and positions (GGA-PBE).
Kinematic intensities with the Lorentz-polarization factor, no thermal factor.

Structure:
```
data_Ba2LaTaCd2O8
_cell_length_a 4.1991
_cell_length_b 4.1991
_cell_length_c 12.0602
_cell_angle_alpha 90.00
_cell_angle_beta 90.00
_cell_angle_gamma 90.00
_space_group_name_H-M_alt 'P 4/m m m'
_space_group_IT_number 123
_space_group_name_Hall '-P 4 2'
loop_
_atom_site_label
_atom_site_fract_x
_atom_site_fract_y
_atom_site_fract_z
_atom_site_occupancy
Ba1 0.0000 0.0000 0.1898 1
La1 0.0000 0.0000 0.5000 1
Ta1 0.5000 0.5000 0.0000 1
Cd1 0.5000 0.5000 0.3481 1
O1 0.0000 0.5000 0.0000 1
O2 0.0000 0.5000 0.3765 1
O3 0.5000 0.5000 0.1601 1
```

Principal peaks in the range 5 to 70 degrees two-theta, low angle first:
22.42°, intensity 4
25.85°, intensity 6
30.10°, intensity 53
30.79°, intensity 100
43.08°, intensity 31
45.11°, intensity 9
53.89°, intensity 41
55.18°, intensity 16
62.57°, intensity 10
64.14°, intensity 12

KHgC3S3N3: computed X-ray diffraction stick pattern (CuKα), based on DFT lattice parameters and positions (GGA-PBE).
Kinematic intensities with the Lorentz-polarization factor, no thermal factor.

Structure:
```
data_KHgC3S3N3
_cell_length_a 10.9652
_cell_length_b 4.0459
_cell_length_c 11.2659
_cell_angle_alpha 90.00
_cell_angle_beta 115.00
_cell_angle_gamma 90.00
_space_group_name_H-M_alt 'P 1 21/m 1'
_space_group_IT_number 11
loop_
_space_group_symop_operation_xyz
'x,y,z'
'-x,-y,-z'
'-x,y+1/2,-z'
'x,-y+1/2,z'
loop_
_atom_site_label
_atom_site_fract_x
_atom_site_fract_y
_atom_site_fract_z
_atom_site_occupancy
K1 0.2075 0.2500 0.0957 1
Hg1 0.2308 0.7500 0.6488 1
C1 0.0342 0.7500 0.7858 1
C2 0.3001 0.7500 0.4017 1
C3 0.4765 0.2500 0.8602 1
S1 0.0067 0.2500 0.3732 1
S2 0.3164 0.2500 0.8344 1
S3 0.4006 0.7500 0.5601 1
N1 0.0625 0.7500 0.8993 1
N2 0.2340 0.7500 0.2876 1
N3 0.4092 0.7500 0.1206 1
```

Principal peaks in the range 5 to 70 degrees two-theta, low angle first:
8.66°, intensity 48
9.44°, intensity 100
14.84°, intensity 29
15.81°, intensity 35
17.85°, intensity 36
22.70°, intensity 27
23.70°, intensity 66
26.61°, intensity 60
28.14°, intensity 36
32.60°, intensity 32

Cu7Ag2: computed X-ray diffraction stick pattern (CuKα), based on DFT lattice parameters and positions (GGA-PBE).
Kinematic intensities with the Lorentz-polarization factor, no thermal factor.

Structure:
```
data_Cu7Ag2
_cell_length_a 8.7715
_cell_length_b 2.7046
_cell_length_c 10.9029
_cell_angle_alpha 90.00
_cell_angle_beta 113.23
_cell_angle_gamma 90.00
_space_group_name_H-M_alt 'C 1 2/m 1'
_space_group_IT_number 12
loop_
_space_group_symop_operation_xyz
'x,y,z'
'-x,-y,-z'
'-x,y,-z'
'x,-y,z'
'x+1/2,y+1/2,z'
'-x+1/2,-y+1/2,-z'
'-x+1/2,y+1/2,-z'
'x+1/2,-y+1/2,z'
loop_
_atom_site_label
_atom_site_fract_x
_atom_site_fract_y
_atom_site_fract_z
_atom_site_occupancy
Cu1 0.0000 0.0000 0.0000 1
Cu2 0.1158 0.0000 0.4548 1
Cu3 0.1568 0.5000 0.6600 1
Cu4 0.2301 0.0000 0.8953 1
Ag1 0.0578 0.5000 0.2263 1
```

Principal peaks in the range 5 to 70 degrees two-theta, low angle first:
17.70°, intensity 3
27.14°, intensity 3
33.59°, intensity 4
35.00°, intensity 4
41.53°, intensity 100
41.68°, intensity 49
42.11°, intensity 48
47.87°, intensity 65
49.87°, intensity 28
69.51°, intensity 10

LaTbPO: computed X-ray diffraction stick pattern (CuKα), based on DFT lattice parameters and positions (GGA-PBE).
Kinematic intensities with the Lorentz-polarization factor, no thermal factor.

Structure:
```
data_LaTbPO
_cell_length_a 4.3505
_cell_length_b 7.5411
_cell_length_c 6.0780
_cell_angle_alpha 90.00
_cell_angle_beta 90.00
_cell_angle_gamma 90.00
_space_group_name_H-M_alt 'P m c 21'
_space_group_IT_number 26
loop_
_space_group_symop_operation_xyz
'x,y,z'
'-x,-y,z+1/2'
'-x,y,z'
'x,-y,z+1/2'
loop_
_atom_site_label
_atom_site_fract_x
_atom_site_fract_y
_atom_site_fract_z
_atom_site_occupancy
La1 0.0000 0.2006 0.0000 1
Tb1 0.5000 0.3804 0.5670 1
P1 0.0000 0.1785 0.4952 1
O1 0.5000 0.3405 0.9313 1
```

Principal peaks in the range 5 to 70 degrees two-theta, low angle first:
11.74°, intensity 15
23.61°, intensity 55
27.85°, intensity 100
29.39°, intensity 35
38.04°, intensity 26
38.77°, intensity 13
41.50°, intensity 37
50.73°, intensity 15
51.19°, intensity 16
51.67°, intensity 30